Al2Si2H4O9: simulated X-ray diffraction stick pattern (copper Kα), based on a structure optimized by DFT (PBE).
Lines closer than 0.1° are merged.

Main lines, sorted by position (10° ≤ 2θ ≤ 90°):
d 7.262, intensity 97
d 4.533, intensity 32
d 4.360, intensity 100
d 4.328, intensity 30
d 3.631, intensity 65
d 3.310, intensity 27
d 2.486, intensity 28
d 2.449, intensity 59

Cell and atoms:
```
34
Lattice="2.615 -4.534 0.000 2.615 4.534 0.000 -0.493 0.000 14.524" Properties=species:S:1:pos:R:3 pbc="T T T"
Al 2.369 4.520 7.262
Al 2.157 1.513 14.524
Al 2.404 -1.513 7.262
Al 2.615 -4.520 0.000
Si 1.333 0.170 11.762
Si 1.579 -0.170 4.500
Si 4.264 1.385 4.492
Si 4.018 -1.385 11.754
H 0.868 1.494 1.844
H 0.734 1.513 9.079
H 1.889 2.382 6.203
H 0.621 -1.494 9.106
H 0.981 -1.513 1.817
H 3.148 0.155 9.072
H 1.642 -2.382 13.465
H 3.394 -0.155 1.809
O 0.305 0.602 3.817
O 1.544 3.064 13.370
O 1.036 1.277 0.914
O 0.058 -0.602 11.079
O 1.392 1.656 11.059
O 1.171 0.266 13.371
O 3.204 3.039 0.927
O 1.418 -0.266 6.109
O 0.790 -1.277 8.176
O 2.899 0.645 3.996
O 1.638 -1.656 3.797
O 2.652 -0.645 11.258
O 3.766 1.310 13.455
O 3.643 0.255 0.970
O 1.790 -3.064 6.108
O 3.397 -0.255 8.232
O 4.012 -1.310 6.193
O 2.958 -3.039 8.189
```